[1]
PuCu2TeO8: computed powder diffraction line list (Cu Kα X-rays), based on a GGA-PBE-relaxed structure.

Principal peaks in the range 10° ≤ 2θ ≤ 90°, in order of rising 2θ:
| Position (°2θ) | I (rel.) |
| --- | --- |
| 18.68 | 61 |
| 27.64 | 96 |
| 32.20 | 100 |
| 33.57 | 15 |
| 39.48 | 23 |
| 51.83 | 69 |
| 60.07 | 21 |
| 67.05 | 19 |

Atomic structure:
a b c (Å): 5.7555 5.7555 5.7555
angles (deg): 111.77 111.77 104.96
Positions (direct):
Pu  0.0000  0.0000  0.0000
Cu  0.2500  0.7500  0.5000
Cu  0.5000  0.5000  0.0000
Te  0.7500  0.2500  0.5000
O  0.0336  0.3457  0.3121
O  0.0336  0.7216  0.6879
O  0.1031  0.2978  0.8053
O  0.2784  0.9664  0.3121
O  0.4925  0.2978  0.1947
O  0.6543  0.9664  0.6879
O  0.7022  0.5075  0.8053
O  0.7022  0.8969  0.1947



[2]
PuTlCu2O6: computed powder diffraction line list (Cu Kα X-rays), based on a GGA-PBE-relaxed structure.

Principal peaks in the range 10° ≤ 2θ ≤ 90°, in order of rising 2θ:
| Position (°2θ) | I (rel.) |
| --- | --- |
| 16.63 | 45 |
| 17.91 | 77 |
| 22.59 | 40 |
| 25.28 | 32 |
| 26.13 | 100 |
| 28.04 | 49 |
| 31.58 | 29 |
| 32.81 | 62 |

Atomic structure:
a b c (Å): 7.2210 7.2210 6.6807
angles (deg): 102.66 102.66 87.86
Positions (direct):
Pu  0.2033  0.7967  0.7500
Pu  0.7967  0.2033  0.2500
Tl  0.4055  0.5945  0.2500
Tl  0.5945  0.4055  0.7500
Cu  0.1307  0.2602  0.6180
Cu  0.2602  0.1307  0.1180
Cu  0.7398  0.8693  0.8820
Cu  0.8693  0.7398  0.3820
O  0.1027  0.2191  0.3125
O  0.1520  0.7676  0.4470
O  0.2191  0.1027  0.8125
O  0.2189  0.5146  0.7454
O  0.2324  0.8480  0.0530
O  0.4854  0.7811  0.7546
O  0.5146  0.2189  0.2454
O  0.7676  0.1520  0.9470
O  0.7811  0.4854  0.2546
O  0.7809  0.8973  0.1875
O  0.8480  0.2324  0.5530
O  0.8973  0.7809  0.6875



[3]
TmPuCuO6: computed powder diffraction line list (Cu Kα X-rays), based on a GGA-PBE-relaxed structure.

Principal peaks in the range 10° ≤ 2θ ≤ 90°, in order of rising 2θ:
| Position (°2θ) | I (rel.) |
| --- | --- |
| 20.01 | 25 |
| 25.09 | 100 |
| 33.45 | 76 |
| 35.78 | 27 |
| 49.79 | 65 |
| 51.48 | 22 |
| 58.12 | 17 |
| 62.82 | 19 |

Atomic structure:
a b c (Å): 5.0188 5.0188 9.5021
angles (deg): 90.00 90.00 90.00
Positions (direct):
Tm  0.0000  0.0000  0.0000
Tm  0.5000  0.5000  0.5000
Pu  0.0000  0.0000  0.3459
Pu  0.5000  0.5000  0.8459
Cu  0.0000  0.0000  0.6771
Cu  0.5000  0.5000  0.1771
O  0.1832  0.1832  0.5100
O  0.1851  0.1851  0.1936
O  0.2031  0.2031  0.8308
O  0.2969  0.7031  0.3308
O  0.3149  0.6851  0.6936
O  0.3168  0.6832  0.0100
O  0.6832  0.3168  0.0100
O  0.6851  0.3149  0.6936
O  0.7031  0.2969  0.3308
O  0.7969  0.7969  0.8308
O  0.8149  0.8149  0.1936
O  0.8168  0.8168  0.5100



[4]
Rb3CuO2: computed powder diffraction line list (Cu Kα X-rays), based on a GGA-PBE-relaxed structure.

Principal peaks in the range 10° ≤ 2θ ≤ 90°, in order of rising 2θ:
| Position (°2θ) | I (rel.) |
| --- | --- |
| 23.00 | 29 |
| 27.96 | 91 |
| 28.73 | 29 |
| 34.70 | 100 |
| 36.52 | 29 |
| 40.54 | 34 |
| 53.97 | 29 |
| 59.05 | 30 |

Atomic structure:
a b c (Å): 7.9841 7.9841 7.9841
angles (deg): 132.93 77.80 122.02
Positions (direct):
Rb  0.0388  0.7500  0.2888
Rb  0.2500  0.2500  0.0000
Rb  0.4612  0.7500  0.7112
Rb  0.5388  0.2500  0.2888
Rb  0.7500  0.7500  0.0000
Rb  0.9612  0.2500  0.7112
Cu  0.0000  0.5000  0.5000
Cu  0.5000  0.0000  0.5000
O  0.1026  0.7102  0.8128
O  0.3974  0.2102  0.6077
O  0.6026  0.7898  0.3923
O  0.8974  0.2898  0.1872



[5]
RbCu2O2: computed powder diffraction line list (Cu Kα X-rays), based on a GGA-PBE-relaxed structure.

Principal peaks in the range 10° ≤ 2θ ≤ 90°, in order of rising 2θ:
| Position (°2θ) | I (rel.) |
| --- | --- |
| 29.01 | 35 |
| 30.78 | 86 |
| 33.79 | 100 |
| 34.32 | 59 |
| 52.53 | 18 |
| 54.54 | 24 |
| 56.32 | 41 |
| 60.10 | 21 |

Atomic structure:
a b c (Å): 6.5864 6.5864 6.5864
angles (deg): 124.27 124.27 82.75
Positions (direct):
Rb  0.3750  0.6250  0.7500
Rb  0.6250  0.3750  0.2500
Cu  0.0000  0.0000  0.0000
Cu  0.0000  0.0000  0.5000
Cu  0.0000  0.5000  0.0000
Cu  0.5000  0.0000  0.5000
O  0.0910  0.3410  0.7500
O  0.3410  0.0910  0.2500
O  0.6590  0.9090  0.7500
O  0.9090  0.6590  0.2500



[6]
Rb5CuO3: computed powder diffraction line list (Cu Kα X-rays), based on a GGA-PBE-relaxed structure.

Principal peaks in the range 10° ≤ 2θ ≤ 90°, in order of rising 2θ:
| Position (°2θ) | I (rel.) |
| --- | --- |
| 26.06 | 30 |
| 27.99 | 100 |
| 28.77 | 31 |
| 29.73 | 42 |
| 30.25 | 27 |
| 31.72 | 41 |
| 33.13 | 32 |
| 34.90 | 24 |

Atomic structure:
a b c (Å): 7.0728 7.0728 10.3731
angles (deg): 96.59 96.59 79.39
Positions (direct):
Rb  0.0665  0.0665  0.3691
Rb  0.1566  0.5355  0.2983
Rb  0.1948  0.8052  0.0000
Rb  0.2760  0.2760  0.9152
Rb  0.4645  0.8434  0.7017
Rb  0.5355  0.1566  0.2983
Rb  0.7240  0.7240  0.0848
Rb  0.8052  0.1948  0.0000
Rb  0.8434  0.4645  0.7017
Rb  0.9335  0.9335  0.6309
Cu  0.3543  0.3543  0.5744
Cu  0.6457  0.6457  0.4256
O  0.1687  0.1687  0.1550
O  0.2042  0.2042  0.6290
O  0.5000  0.5000  0.0000
O  0.5000  0.5000  0.5000
O  0.7958  0.7958  0.3710
O  0.8313  0.8313  0.8450



[7]
RbCu2O4: computed powder diffraction line list (Cu Kα X-rays), based on a GGA-PBE-relaxed structure.

Principal peaks in the range 10° ≤ 2θ ≤ 90°, in order of rising 2θ:
| Position (°2θ) | I (rel.) |
| --- | --- |
| 25.70 | 30 |
| 26.64 | 62 |
| 30.20 | 100 |
| 30.63 | 65 |
| 31.81 | 61 |
| 32.30 | 49 |
| 51.19 | 27 |
| 62.78 | 28 |

Atomic structure:
a b c (Å): 6.9328 6.7680 6.6998
angles (deg): 61.96 59.50 58.54
Positions (direct):
Rb  0.0000  0.0000  0.0000
Rb  0.2500  0.2500  0.2500
Cu  0.1739  0.5579  0.6390
Cu  0.5579  0.1739  0.6291
Cu  0.6110  0.6209  0.0761
Cu  0.6209  0.6110  0.6921
O  0.0472  0.9039  0.5949
O  0.4355  0.4392  0.7639
O  0.4392  0.4355  0.3613
O  0.4861  0.8887  0.8145
O  0.6551  0.7961  0.2028
O  0.7961  0.6551  0.3461
O  0.8887  0.4861  0.8108
O  0.9039  0.0472  0.4539



[8]
RbCu2O10: computed powder diffraction line list (Cu Kα X-rays), based on a GGA-PBE-relaxed structure.

Principal peaks in the range 10° ≤ 2θ ≤ 90°, in order of rising 2θ:
| Position (°2θ) | I (rel.) |
| --- | --- |
| 17.95 | 31 |
| 18.66 | 100 |
| 23.15 | 35 |
| 29.57 | 33 |
| 30.99 | 30 |
| 33.25 | 53 |
| 36.36 | 26 |
| 39.34 | 39 |

Atomic structure:
a b c (Å): 6.1338 6.1338 6.9275
angles (deg): 106.03 106.03 63.21
Positions (direct):
Rb  0.0000  0.0000  0.0000
Cu  0.0000  0.5000  0.5000
Cu  0.5000  0.0000  0.5000
O  0.0823  0.4420  0.7788
O  0.1825  0.1825  0.3991
O  0.3353  0.3353  0.8483
O  0.4420  0.0823  0.7788
O  0.4780  0.4780  0.5733
O  0.5220  0.5220  0.4267
O  0.5580  0.9177  0.2212
O  0.6647  0.6647  0.1517
O  0.8175  0.8175  0.6009
O  0.9177  0.5580  0.2212



[9]
Rb3CuO2: computed powder diffraction line list (Cu Kα X-rays), based on a GGA-PBE-relaxed structure.

Principal peaks in the range 10° ≤ 2θ ≤ 90°, in order of rising 2θ:
| Position (°2θ) | I (rel.) |
| --- | --- |
| 26.84 | 49 |
| 27.10 | 39 |
| 28.24 | 70 |
| 30.73 | 61 |
| 31.60 | 49 |
| 33.40 | 37 |
| 34.07 | 100 |
| 37.61 | 16 |

Atomic structure:
a b c (Å): 6.8183 9.8131 9.5695
angles (deg): 90.00 112.03 90.00
Positions (direct):
Rb  0.2387  0.0274  0.3750
Rb  0.2387  0.4726  0.8750
Rb  0.2534  0.0345  0.9949
Rb  0.2534  0.4655  0.4949
Rb  0.2587  0.7086  0.1873
Rb  0.2587  0.7914  0.6873
Rb  0.7413  0.2086  0.3127
Rb  0.7413  0.2914  0.8127
Rb  0.7466  0.5345  0.5051
Rb  0.7466  0.9655  0.0051
Rb  0.7613  0.5274  0.1250
Rb  0.7613  0.9726  0.6250
Cu  0.2093  0.1794  0.6729
Cu  0.2093  0.3206  0.1729
Cu  0.7907  0.6794  0.8271
Cu  0.7907  0.8206  0.3271
O  0.0065  0.6979  0.3789
O  0.0065  0.8021  0.8789
O  0.4308  0.0612  0.7222
O  0.4308  0.4388  0.2222
O  0.5692  0.5612  0.7778
O  0.5692  0.9388  0.2778
O  0.9935  0.1979  0.1211
O  0.9935  0.3021  0.6211



[10]
Rb2Cu2ReO6: computed powder diffraction line list (Cu Kα X-rays), based on a GGA-PBE-relaxed structure.

Principal peaks in the range 10° ≤ 2θ ≤ 90°, in order of rising 2θ:
| Position (°2θ) | I (rel.) |
| --- | --- |
| 15.45 | 17 |
| 18.11 | 25 |
| 30.29 | 100 |
| 31.34 | 98 |
| 44.15 | 30 |
| 53.82 | 19 |
| 54.48 | 44 |
| 63.01 | 18 |

Atomic structure:
a b c (Å): 6.6705 6.6705 6.6705
angles (deg): 52.50 52.50 52.50
Positions (direct):
Rb  0.2158  0.2158  0.2158
Rb  0.7842  0.7842  0.7842
Cu  0.4029  0.4029  0.4029
Cu  0.5971  0.5971  0.5971
Re  0.0000  0.0000  0.0000
O  0.2166  0.2166  0.7646
O  0.2166  0.7646  0.2166
O  0.2354  0.7834  0.7834
O  0.7646  0.2166  0.2166
O  0.7834  0.2354  0.7834
O  0.7834  0.7834  0.2354



[11]
Rb2CuReO6: computed powder diffraction line list (Cu Kα X-rays), based on a GGA-PBE-relaxed structure.

Principal peaks in the range 10° ≤ 2θ ≤ 90°, in order of rising 2θ:
| Position (°2θ) | I (rel.) |
| --- | --- |
| 16.46 | 99 |
| 24.02 | 69 |
| 28.71 | 100 |
| 37.77 | 39 |
| 39.05 | 51 |
| 49.18 | 38 |
| 50.86 | 19 |
| 57.95 | 43 |

Atomic structure:
a b c (Å): 6.2186 6.2186 5.1056
angles (deg): 90.00 90.00 120.00
Positions (direct):
Rb  0.3333  0.6667  0.2087
Rb  0.6667  0.3333  0.7913
Cu  0.0000  0.0000  0.0000
Re  0.0000  0.0000  0.5000
O  0.1402  0.2805  0.7289
O  0.1402  0.8598  0.7289
O  0.2805  0.1402  0.2711
O  0.7195  0.8598  0.7289
O  0.8598  0.1402  0.2711
O  0.8598  0.7195  0.2711



[12]
RbCu2Se2O6: computed powder diffraction line list (Cu Kα X-rays), based on a GGA-PBE-relaxed structure.

Principal peaks in the range 10° ≤ 2θ ≤ 90°, in order of rising 2θ:
| Position (°2θ) | I (rel.) |
| --- | --- |
| 13.43 | 100 |
| 27.05 | 39 |
| 28.47 | 15 |
| 31.39 | 15 |
| 31.83 | 26 |
| 35.24 | 20 |
| 36.14 | 21 |
| 39.16 | 13 |

Atomic structure:
a b c (Å): 5.6439 6.8604 7.2700
angles (deg): 65.90 85.95 66.03
Positions (direct):
Rb  0.0000  0.0000  0.0000
Cu  0.2464  0.4973  0.5064
Cu  0.7536  0.5027  0.4936
Se  0.2440  0.0248  0.4585
Se  0.7560  0.9752  0.5415
O  0.1021  0.2768  0.5737
O  0.1767  0.2021  0.2118
O  0.3983  0.7152  0.4261
O  0.6017  0.2848  0.5739
O  0.8233  0.7979  0.7882
O  0.8979  0.7232  0.4263